[1]
Computed powder X-ray diffraction pattern of OsN5Cl3 for Cu Kα X-rays, from a structure optimized by DFT (GGA-PBE).
Peak positions follow from Bragg's law for the DFT cell and can differ from measured ones.

Atomic structure:
```
36
Lattice="16.9859 0.0000 0.0000 0.0000 6.2976 0.0000 0.0000 0.0000 7.3944" Properties=species:S:1:pos:R:3 pbc="T T T"
Os 2.5873 1.5744 1.1832
Os 5.9057 4.7232 4.8804
Os 11.0802 1.5744 2.5140
Os 14.3986 4.7232 6.2112
N 1.0759 4.7232 4.6545
N 1.3977 0.1097 1.1910
N 1.3977 3.0391 1.1910
N 3.6032 1.5744 2.5946
N 3.6071 1.5744 7.1710
N 4.8859 4.7232 3.4738
N 4.8897 4.7232 6.2918
N 7.0952 3.2586 4.8882
N 7.0952 6.1879 4.8882
N 7.4171 1.5744 0.9573
N 9.5688 4.7232 6.4371
N 9.8907 0.1097 2.5062
N 9.8907 3.0391 2.5062
N 12.0962 1.5744 1.1026
N 12.1000 1.5744 3.9206
N 13.3788 4.7232 0.2234
N 13.3827 4.7232 4.7998
N 15.5882 3.2586 6.2034
N 15.5882 6.1879 6.2034
N 15.9100 1.5744 2.7399
Cl 1.1762 4.7232 1.2330
Cl 2.0082 3.3234 4.8015
Cl 2.0082 6.1230 4.8015
Cl 6.4848 0.1746 1.1043
Cl 6.4848 2.9742 1.1043
Cl 7.3168 1.5744 4.9302
Cl 9.6691 4.7232 2.4642
Cl 10.5011 3.3234 6.2901
Cl 10.5011 6.1230 6.2901
Cl 14.9777 0.1746 2.5929
Cl 14.9777 2.9742 2.5929
Cl 15.8097 1.5744 6.1614
```

Peak list (6 most intense, 5 to 70 degrees two-theta, low angle first)
Position (°2θ)  I_rel
15.9  950
17.5  851
18.5  1000
20.9  755
24.6  814
32.7  821


[2]
Computed powder X-ray diffraction pattern of Na3Sm for Cu Kα X-rays, from a structure optimized by DFT (GGA-PBE).
Peak positions follow from Bragg's law for the DFT cell and can differ from measured ones.

Atomic structure:
```
4
Lattice="-2.4925 2.4925 5.5483 2.4925 -2.4925 5.5483 2.4925 2.4925 -5.5483" Properties=species:S:1:pos:R:3 pbc="T T T"
Na 0.0000 0.0000 0.0000
Na 2.4925 0.0000 2.7742
Na 0.0000 2.4925 2.7742
Sm 0.0000 0.0000 5.5483
```

Peak list (6 most intense, 5 to 70 degrees two-theta, low angle first)
Position (°2θ)  I_rel
16.0  269
19.5  682
30.0  1000
36.0  234
41.3  202
61.1  225


[3]
Computed powder X-ray diffraction pattern of Cr4CuNiSe8 for Cu Kα X-rays, from a structure optimized by DFT (GGA-PBE).
Peak positions follow from Bragg's law for the DFT cell and can differ from measured ones.

Atomic structure:
```
14
Lattice="0.0000 5.1666 5.1666 5.1666 0.0000 5.1666 5.1666 5.1666 0.0000" Properties=species:S:1:pos:R:3 pbc="T T T"
Cr 3.8882 3.8882 3.8882
Cr 6.4451 6.4451 3.8882
Cr 6.4451 3.8882 6.4451
Cr 3.8882 6.4451 6.4451
Cu 0.0000 0.0000 0.0000
Ni 7.7500 7.7500 7.7500
Se 1.3749 1.3749 1.3749
Se 3.7917 3.7917 1.3749
Se 3.7917 1.3749 3.7917
Se 6.4114 3.9218 3.9218
Se 1.3749 3.7917 3.7917
Se 3.9218 6.4114 3.9218
Se 3.9218 3.9218 6.4114
Se 6.4114 6.4114 6.4114
```

Peak list (6 most intense, 5 to 70 degrees two-theta, low angle first)
Position (°2θ)  I_rel
28.7  383
30.0  526
34.7  781
45.6  241
49.9  1000
59.3  218


[4]
Computed powder X-ray diffraction pattern of SnSbPt for Cu Kα X-rays, from a structure optimized by DFT (GGA-PBE).
Peak positions follow from Bragg's law for the DFT cell and can differ from measured ones.

Atomic structure:
```
6
Lattice="5.5375 0.0000 0.0000 0.0000 3.9803 0.0000 -0.1812 0.0000 6.6380" Properties=species:S:1:pos:R:3 pbc="T T T"
Sn 1.1431 0.0000 0.9000
Sn 4.2132 0.0000 5.7380
Sb 1.5066 1.9902 4.1955
Sb 3.8497 1.9902 2.4425
Pt -0.0906 0.0000 3.3190
Pt 2.7688 1.9902 0.0000
```

Peak list (6 most intense, 5 to 70 degrees two-theta, low angle first)
Position (°2θ)  I_rel
27.6  1000
31.0  679
41.7  583
42.3  547
45.6  382
47.0  563


[5]
Computed powder X-ray diffraction pattern of Si3O7 for Cu Kα X-rays, from a structure optimized by DFT (GGA-PBE).
Peak positions follow from Bragg's law for the DFT cell and can differ from measured ones.

Atomic structure:
```
20
Lattice="6.9502 0.0000 0.0000 -0.3359 7.0841 0.0000 -1.0910 -2.0504 7.1655" Properties=species:S:1:pos:R:3 pbc="T T T"
Si 0.0000 0.0000 0.0000
Si -0.2669 -0.6725 2.9535
Si 0.6626 3.7456 5.2393
Si 3.4233 2.6636 6.4830
Si 4.3223 4.0992 2.3108
Si 5.2650 1.8353 4.2008
O -0.3188 2.5890 4.6823
O 0.3451 0.0048 1.6006
O -0.0667 4.6493 6.3587
O 0.9663 -1.0071 4.0667
O 1.0369 4.6978 3.8666
O 2.0301 3.1167 5.7818
O 3.2057 5.0238 3.0648
O 4.1624 3.9198 0.6910
O 4.5638 2.6166 2.9529
O 4.2144 1.7077 5.4316
O 4.3421 3.9800 6.7900
O 5.6988 0.3454 3.7196
O 5.6662 5.0054 2.5708
O 5.4237 -0.4828 6.9278
```

Peak list (6 most intense, 5 to 70 degrees two-theta, low angle first)
Position (°2θ)  I_rel
13.0  1000
17.5  155
19.2  624
20.6  205
22.3  269
24.7  217


[6]
Computed powder X-ray diffraction pattern of LiCu6OF11 for Cu Kα X-rays, from a structure optimized by DFT (GGA-PBE).
Peak positions follow from Bragg's law for the DFT cell and can differ from measured ones.

Atomic structure:
```
19
Lattice="4.7842 0.0000 0.0000 -0.0001 5.3531 0.0000 -0.2049 -0.3979 8.6114" Properties=species:S:1:pos:R:3 pbc="T T T"
Li 0.0000 0.0000 0.0000
Cu 2.2882 0.5779 1.6645
Cu 2.1691 4.1301 7.2480
Cu 2.3147 2.2629 4.4588
Cu 4.2178 1.7569 6.7486
Cu 4.6417 5.0380 4.4871
Cu 4.7404 3.1652 1.7114
O 3.6845 1.1526 5.1054
F 0.6225 -0.2031 6.8589
F 0.7877 1.5900 0.9599
F 0.8630 3.4641 3.7825
F 1.3638 4.3470 0.9609
F 1.3099 0.7553 3.7591
F 1.2610 2.5638 6.5533
F 3.0088 0.3907 7.9581
F 3.2080 2.1565 2.2968
F 3.2588 3.8362 5.1402
F 3.6743 3.1574 8.0664
F 3.8186 4.8492 2.0842
```

Peak list (6 most intense, 5 to 70 degrees two-theta, low angle first)
Position (°2θ)  I_rel
26.6  1000
26.9  766
31.2  629
32.8  393
33.4  356
35.6  248


[7]
Computed powder X-ray diffraction pattern of AgAsS2 for Cu Kα X-rays, from a structure optimized by DFT (GGA-PBE).
Peak positions follow from Bragg's law for the DFT cell and can differ from measured ones.

Atomic structure:
```
48
Lattice="7.6998 -3.9609 0.0000 7.6998 3.9609 0.0000 -3.4313 0.0000 17.2457" Properties=species:S:1:pos:R:3 pbc="T T T"
Ag 5.2271 3.0161 7.2294
Ag 5.1263 2.9946 12.9343
Ag 8.4567 3.0161 1.3935
Ag 3.4656 0.9358 10.1364
Ag 6.8419 1.0578 4.3114
Ag 5.1812 -0.9358 1.5135
Ag 6.7871 0.9358 15.7322
Ag 5.1263 -1.0578 12.9343
Ag 8.5027 -0.9358 7.1093
Ag 3.5115 -3.0161 15.8522
Ag 6.8419 -2.9946 4.3114
Ag 6.7411 -3.0161 10.0164
As -0.4921 0.9480 15.8423
As 2.9973 1.0441 3.9882
As 3.1410 0.9632 15.7357
As 1.2235 -0.9480 7.2195
As 1.2817 -1.0441 12.6110
As 7.1116 0.9632 10.1329
As 4.8567 -0.9632 7.1128
As 10.6865 1.0441 4.6347
As 10.7447 0.9480 10.0262
As 8.8272 -0.9632 1.5100
As 8.9709 -1.0441 13.2575
As 12.4604 -0.9480 1.4034
S 4.6163 3.2613 10.1783
S 4.7533 2.6569 3.7049
S 5.6363 3.2613 15.6902
S 2.9548 0.2573 1.8712
S 3.0756 1.3912 13.4290
S 3.0546 0.4846 7.3439
S 1.2391 -0.2573 10.4941
S 8.9305 2.6569 4.9180
S 1.3390 -0.4846 15.9667
S 7.3110 0.7132 1.7793
S 6.3729 0.7132 6.8435
S 7.1770 1.3912 12.4396
S 4.7913 -1.3912 4.8061
S 5.5954 -0.7132 10.4022
S 4.6572 -0.7132 15.4664
S 10.6293 0.4846 1.2790
S 3.0377 -2.6569 12.3277
S 10.7291 0.2573 6.7517
S 8.9136 -0.4846 9.9019
S 8.8926 -1.3912 3.8167
S 9.0135 -0.2573 15.3745
S 6.3319 -3.2613 1.5555
S 7.2149 -2.6569 13.5408
S 7.3520 -3.2613 7.0674
```

Peak list (6 most intense, 5 to 70 degrees two-theta, low angle first)
Position (°2θ)  I_rel
27.3  609
27.6  234
31.1  588
32.4  1000
45.1  283
46.0  320